VIr: simulated X-ray powder pattern (Cu Kα (weighted mean of Kα1 and Kα2)), based on a cell relaxed with PBE.
Lines closer than 0.1° are merged.

Largest 10 diffraction maxima, by intensity, 2θ from 10° to 90°:
41.1°, intensity 100
40.9°, intensity 99
46.1°, intensity 72
24.7°, intensity 61
32.1°, intensity 35
53.1°, intensity 35
32.3°, intensity 34
71.0°, intensity 34
82.1°, intensity 25
81.8°, intensity 24

Atomic structure:
```
VIr
1.0
3.5982 -5.5766 0.0000
3.5982 5.5766 0.0000
0.0000 0.0000 11.1008
V Ir
16 16
Cartesian
3.5982 4.4038 6.8459
3.5982 4.4038 9.8052
3.5982 4.2036 1.4637
3.5982 4.2036 4.0867
3.5982 1.5827 1.4846
3.5982 1.5827 4.0658
3.5982 1.4694 6.8479
3.5982 1.4694 9.8033
3.5982 -1.4694 1.2975
3.5982 -1.4694 4.2529
3.5982 -1.5827 7.0350
3.5982 -1.5827 9.6162
3.5982 -4.2036 7.0141
3.5982 -4.2036 9.6371
3.5982 -4.4038 1.2956
3.5982 -4.4038 4.2548
1.7991 2.7883 0.0000
1.7991 2.7883 5.5504
1.9638 2.8333 8.3256
1.9285 0.0246 8.3256
1.9365 0.0000 0.0000
1.9365 0.0000 5.5504
1.9285 -0.0246 2.7752
5.2326 2.8333 8.3256
1.7991 -2.7883 0.0000
1.7991 -2.7883 5.5504
1.9638 -2.8333 2.7752
5.2679 0.0246 8.3256
5.2599 0.0000 0.0000
5.2599 0.0000 5.5504
5.2679 -0.0246 2.7752
5.2326 -2.8333 2.7752
```